CeSn4Pt4: theoretical X-ray powder pattern (a wavelength of 1.5418 Å), based on DFT lattice parameters and positions (PBE).
Kinematic intensities with the Lorentz-polarization factor, no thermal factor.

Atomic structure:
```
CeSn4Pt4
1.0
8.9865 0.0000 0.0000
0.0000 8.9865 0.0000
0.0000 0.0000 5.3483
Ce Sn Pt
2 8 8
direct
0.2500 0.2500 0.2500
0.7500 0.7500 0.7500
0.0922 0.6371 0.1546
0.1371 0.9078 0.6546
0.3629 0.5922 0.6546
0.4078 0.8629 0.1546
0.5922 0.1371 0.8454
0.6371 0.4078 0.3454
0.8629 0.0922 0.3454
0.9078 0.3629 0.8454
0.0385 0.6220 0.6563
0.1220 0.9615 0.1563
0.3780 0.5385 0.1563
0.4615 0.8780 0.6563
0.5385 0.1220 0.3437
0.6220 0.4615 0.8437
0.8780 0.0385 0.8437
0.9615 0.3780 0.3437
```

Principal peaks in the range 10 to 80 degrees two-theta, sorted by position:
19.3 deg, I = 25
31.5 deg, I = 100
35.0 deg, I = 39
39.9 deg, I = 25
40.5 deg, I = 20
45.1 deg, I = 29
45.5 deg, I = 34
50.0 deg, I = 24